The following is a calculated X-ray powder pattern of Tc3P2. It was derived from the GGA-PBE geometry in Alexandria, using Cu Kα (weighted mean of Kα1 and Kα2).

Structure:
```
data_Tc3P2
_cell_length_a 9.0630
_cell_length_b 2.9962
_cell_length_c 10.0276
_cell_angle_alpha 90.00
_cell_angle_beta 90.00
_cell_angle_gamma 90.00
_symmetry_space_group_name_H-M 'P n m a'
_symmetry_Int_Tables_number 62
loop_
_symmetry_equiv_pos_as_xyz
'x,y,z'
'-x,-y,-z'
'-x+1/2,-y,z+1/2'
'x+1/2,y,-z+1/2'
'x+1/2,-y+1/2,-z+1/2'
'-x+1/2,y+1/2,z+1/2'
'-x,y+1/2,-z'
'x,-y+1/2,z'
loop_
_atom_site_label
_atom_site_type_symbol
_atom_site_fract_x
_atom_site_fract_y
_atom_site_fract_z
_atom_site_occupancy
Tc1 Tc 0.0596 0.2500 0.1282 1
Tc2 Tc 0.1376 0.7500 0.5400 1
Tc3 Tc 0.2158 0.2500 0.7708 1
P1 P 0.0262 0.7500 0.3214 1
P2 P 0.1806 0.7500 0.9635 1
```

Main lines, by angle (15° ≤ 2θ ≤ 90°):
2θ/deg	I/Imax
32.72	42.6
34.67	39.5
37.07	47.4
40.32	70.2
40.43	100.0
40.83	48.1
41.15	47.1
49.71	36.0



The following is a calculated X-ray powder pattern of CsIn5Hg6. It was derived from the GGA-PBE geometry in Alexandria, using Cu Kα (weighted mean of Kα1 and Kα2).

Structure:
```
data_CsIn5Hg6
_cell_length_a 9.9647
_cell_length_b 16.1516
_cell_length_c 5.0896
_cell_angle_alpha 90.00
_cell_angle_beta 120.33
_cell_angle_gamma 90.00
_symmetry_space_group_name_H-M 'C 1 2/m 1'
_symmetry_Int_Tables_number 12
loop_
_symmetry_equiv_pos_as_xyz
'x,y,z'
'-x,-y,-z'
'-x,y,-z'
'x,-y,z'
'x+1/2,y+1/2,z'
'-x+1/2,-y+1/2,-z'
'-x+1/2,y+1/2,-z'
'x+1/2,-y+1/2,z'
loop_
_atom_site_label
_atom_site_type_symbol
_atom_site_fract_x
_atom_site_fract_y
_atom_site_fract_z
_atom_site_occupancy
Cs1 Cs 0.0000 0.0000 0.0000 1
In1 In 0.0000 0.1716 0.5000 1
In2 In 0.0000 0.3235 0.0000 1
In3 In 0.0000 0.5000 0.5000 1
Hg1 Hg 0.2077 0.5000 0.2084 1
Hg2 Hg 0.2327 0.3262 0.7325 1
```

Main lines, by angle (15° ≤ 2θ ≤ 90°):
2θ/deg	I/Imax
31.84	100.0
31.99	98.6
33.28	46.3
35.27	41.8
42.02	19.4
49.28	30.8
58.62	31.6
61.06	17.8



The following is a calculated X-ray powder pattern of AcLaPr2Sm4. It was derived from the GGA-PBE geometry in Alexandria, using Cu Kα (weighted mean of Kα1 and Kα2).

Structure:
```
data_AcLaPr2Sm4
_cell_length_a 7.4648
_cell_length_b 7.4705
_cell_length_c 10.3889
_cell_angle_alpha 90.03
_cell_angle_beta 90.03
_cell_angle_gamma 90.07
_symmetry_space_group_name_H-M 'P 1'
_symmetry_Int_Tables_number 1
loop_
_symmetry_equiv_pos_as_xyz
'x,y,z'
loop_
_atom_site_label
_atom_site_type_symbol
_atom_site_fract_x
_atom_site_fract_y
_atom_site_fract_z
_atom_site_occupancy
Ac1 Ac 0.0000 0.0000 0.0000 1
Ac2 Ac 0.9999 0.4994 0.4999 1
La1 La 0.9997 0.5001 0.0005 1
La2 La 0.4997 0.4995 0.0003 1
Pr1 Pr 0.9998 0.9995 0.5003 1
Pr2 Pr 0.4998 0.0000 0.5004 1
Pr3 Pr 0.4999 0.5000 0.5001 1
Pr4 Pr 0.5000 0.9993 0.9999 1
Sm1 Sm 0.2541 0.2486 0.2508 1
Sm2 Sm 0.2538 0.2490 0.7495 1
Sm3 Sm 0.2541 0.7505 0.7493 1
Sm4 Sm 0.2538 0.7509 0.2511 1
Sm5 Sm 0.7456 0.2486 0.2510 1
Sm6 Sm 0.7458 0.2489 0.7493 1
Sm7 Sm 0.7460 0.7502 0.7495 1
Sm8 Sm 0.7456 0.7510 0.2509 1
```

Main lines, by angle (15° ≤ 2θ ≤ 90°):
2θ/deg	I/Imax
29.46	100.0
33.95	34.4
34.53	16.5
48.78	12.5
49.21	24.3
58.01	26.0
58.78	14.3
61.13	12.7



The following is a calculated X-ray powder pattern of Rb2S2O7. It was derived from the GGA-PBE geometry in Alexandria, using Cu Kα (weighted mean of Kα1 and Kα2).

Structure:
```
data_Rb2S2O7
_cell_length_a 7.7796
_cell_length_b 7.7904
_cell_length_c 13.4246
_cell_angle_alpha 85.36
_cell_angle_beta 88.17
_cell_angle_gamma 87.59
_symmetry_space_group_name_H-M 'P -1'
_symmetry_Int_Tables_number 2
loop_
_symmetry_equiv_pos_as_xyz
'x,y,z'
'-x,-y,-z'
loop_
_atom_site_label
_atom_site_type_symbol
_atom_site_fract_x
_atom_site_fract_y
_atom_site_fract_z
_atom_site_occupancy
Rb1 Rb 0.1224 0.1686 0.3614 1
Rb2 Rb 0.2836 0.2633 0.6395 1
Rb3 Rb 0.3137 0.6069 0.1607 1
Rb4 Rb 0.3150 0.8358 0.8670 1
S1 S 0.1965 0.1164 0.1008 1
S2 S 0.1976 0.6987 0.4177 1
S3 S 0.2096 0.3423 0.9105 1
S4 S 0.3863 0.7359 0.6058 1
O1 O 0.0431 0.0729 0.1612 1
O2 O 0.0515 0.8124 0.4444 1
O3 O 0.0656 0.4053 0.8497 1
O4 O 0.1054 0.2324 0.0045 1
O5 O 0.1489 0.5393 0.3788 1
O6 O 0.2677 0.8775 0.6316 1
O7 O 0.2811 0.6214 0.5272 1
O8 O 0.2887 0.9704 0.0597 1
O9 O 0.3011 0.4756 0.9554 1
O10 O 0.3083 0.2317 0.1475 1
O11 O 0.3262 0.2179 0.8633 1
O12 O 0.3337 0.7886 0.3602 1
O13 O 0.4111 0.6031 0.6879 1
O14 O 0.4572 0.2105 0.4476 1
```

Main lines, by angle (15° ≤ 2θ ≤ 90°):
2θ/deg	I/Imax
22.90	95.4
23.67	24.7
24.39	78.8
25.49	32.3
25.67	38.9
26.06	26.5
26.66	100.0
29.26	37.6



The following is a calculated X-ray powder pattern of CoSn4Bi. It was derived from the GGA-PBE geometry in Alexandria, using Cu Kα (weighted mean of Kα1 and Kα2).

Structure:
```
data_CoSn4Bi
_cell_length_a 9.0824
_cell_length_b 13.5660
_cell_length_c 5.5042
_cell_angle_alpha 90.00
_cell_angle_beta 112.73
_cell_angle_gamma 90.00
_symmetry_space_group_name_H-M 'C 1 2/c 1'
_symmetry_Int_Tables_number 15
loop_
_symmetry_equiv_pos_as_xyz
'x,y,z'
'-x,-y,-z'
'-x,y,-z+1/2'
'x,-y,z+1/2'
'x+1/2,y+1/2,z'
'-x+1/2,-y+1/2,-z'
'-x+1/2,y+1/2,-z+1/2'
'x+1/2,-y+1/2,z+1/2'
loop_
_atom_site_label
_atom_site_type_symbol
_atom_site_fract_x
_atom_site_fract_y
_atom_site_fract_z
_atom_site_occupancy
Co1 Co 0.0000 0.0089 0.2500 1
Sn1 Sn 0.1095 0.1592 0.5823 1
Sn2 Sn 0.2401 0.4345 0.8415 1
Bi1 Bi 0.0000 0.3637 0.2500 1
```

Main lines, by angle (15° ≤ 2θ ≤ 90°):
2θ/deg	I/Imax
26.28	32.0
30.71	82.3
31.73	54.6
33.35	58.7
35.21	100.0
37.86	39.6
38.40	36.6
42.73	34.9



The following is a calculated X-ray powder pattern of KGaSb2. It was derived from the GGA-PBE geometry in Alexandria, using Cu Kα (weighted mean of Kα1 and Kα2).

Structure:
```
data_KGaSb2
_cell_length_a 6.3810
_cell_length_b 13.5166
_cell_length_c 6.3988
_cell_angle_alpha 90.00
_cell_angle_beta 112.10
_cell_angle_gamma 90.00
_symmetry_space_group_name_H-M 'C 1 2/c 1'
_symmetry_Int_Tables_number 15
loop_
_symmetry_equiv_pos_as_xyz
'x,y,z'
'-x,-y,-z'
'-x,y,-z+1/2'
'x,-y,z+1/2'
'x+1/2,y+1/2,z'
'-x+1/2,-y+1/2,-z'
'-x+1/2,y+1/2,-z+1/2'
'x+1/2,-y+1/2,z+1/2'
loop_
_atom_site_label
_atom_site_type_symbol
_atom_site_fract_x
_atom_site_fract_y
_atom_site_fract_z
_atom_site_occupancy
K1 K 0.0000 0.1103 0.2500 1
Ga1 Ga 0.0000 0.2656 0.7500 1
Sb1 Sb 0.1623 0.3761 0.1400 1
```

Main lines, by angle (15° ≤ 2θ ≤ 90°):
2θ/deg	I/Imax
19.92	68.2
26.38	45.9
28.93	36.9
31.22	100.0
31.99	90.3
41.93	31.6
42.96	45.8
43.39	36.5



The following is a calculated X-ray powder pattern of Pm2ErP2N6. It was derived from the GGA-PBE geometry in Alexandria, using Cu Kα (weighted mean of Kα1 and Kα2).

Structure:
```
data_Pm2ErP2N6
_cell_length_a 5.5516
_cell_length_b 5.5516
_cell_length_c 17.5257
_cell_angle_alpha 90.00
_cell_angle_beta 90.00
_cell_angle_gamma 120.00
_symmetry_space_group_name_H-M 'R -3 m'
_symmetry_Int_Tables_number 166
_symmetry_space_group_name_Hall '-R 3 2"'
loop_
_atom_site_label
_atom_site_type_symbol
_atom_site_fract_x
_atom_site_fract_y
_atom_site_fract_z
_atom_site_occupancy
Pm1 Pm 0.0000 0.0000 0.2068 1
Er1 Er 0.0000 0.0000 0.0000 1
P1 P 0.0000 0.0000 0.4131 1
N1 N 0.0059 0.5030 0.2403 1
```

Main lines, by angle (15° ≤ 2θ ≤ 90°):
2θ/deg	I/Imax
19.14	45.0
27.54	31.8
31.59	100.0
32.25	91.0
42.91	19.8
45.77	39.6
55.83	18.9
57.09	36.4



The following is a calculated X-ray powder pattern of Pd3Se. It was derived from the GGA-PBE geometry in Alexandria, using Cu Kα (weighted mean of Kα1 and Kα2).

Structure:
```
data_Pd3Se
_cell_length_a 3.0350
_cell_length_b 4.5088
_cell_length_c 4.6912
_cell_angle_alpha 90.00
_cell_angle_beta 90.00
_cell_angle_gamma 90.00
_symmetry_space_group_name_H-M 'P m m 2'
_symmetry_Int_Tables_number 25
loop_
_symmetry_equiv_pos_as_xyz
'x,y,z'
'-x,-y,z'
'-x,y,z'
'x,-y,z'
loop_
_atom_site_label
_atom_site_type_symbol
_atom_site_fract_x
_atom_site_fract_y
_atom_site_fract_z
_atom_site_occupancy
Pd1 Pd 0.0000 0.0000 0.0000 1
Pd2 Pd 0.0000 0.5000 0.3801 1
Pd3 Pd 0.5000 0.5000 0.8791 1
Se1 Se 0.5000 0.0000 0.4947 1
```

Main lines, by angle (15° ≤ 2θ ≤ 90°):
2θ/deg	I/Imax
35.22	11.7
38.38	18.5
39.99	30.2
40.67	100.0
43.49	21.8
56.63	11.7
73.10	17.1
81.32	11.9



The following is a calculated X-ray powder pattern of MgC. It was derived from the GGA-PBE geometry in Alexandria, using Cu Kα (weighted mean of Kα1 and Kα2).

Structure:
```
data_MgC
_cell_length_a 10.4069
_cell_length_b 3.5107
_cell_length_c 5.6958
_cell_angle_alpha 90.00
_cell_angle_beta 122.16
_cell_angle_gamma 90.00
_symmetry_space_group_name_H-M 'C 1 m 1'
_symmetry_Int_Tables_number 8
loop_
_symmetry_equiv_pos_as_xyz
'x,y,z'
'x,-y,z'
'x+1/2,y+1/2,z'
'x+1/2,-y+1/2,z'
loop_
_atom_site_label
_atom_site_type_symbol
_atom_site_fract_x
_atom_site_fract_y
_atom_site_fract_z
_atom_site_occupancy
Mg1 Mg 0.0000 0.0000 0.0000 1
Mg2 Mg 0.1310 0.5000 0.5267 1
Mg3 Mg 0.3648 0.5000 0.3696 1
C1 C 0.1046 0.0000 0.7455 1
C2 C 0.2507 0.0000 0.9367 1
C3 C 0.4009 0.0000 0.1298 1
```

Main lines, by angle (15° ≤ 2θ ≤ 90°):
2θ/deg	I/Imax
18.70	41.1
27.35	28.0
29.90	62.8
34.10	40.6
34.61	43.7
36.16	65.4
42.27	100.0
52.10	36.7



The following is a calculated X-ray powder pattern of SbRhO4. It was derived from the GGA-PBE geometry in Alexandria, using Cu Kα (weighted mean of Kα1 and Kα2).

Structure:
```
data_SbRhO4
_cell_length_a 5.1962
_cell_length_b 4.6501
_cell_length_c 5.6881
_cell_angle_alpha 90.00
_cell_angle_beta 90.00
_cell_angle_gamma 90.00
_symmetry_space_group_name_H-M 'P n c 2'
_symmetry_Int_Tables_number 30
loop_
_symmetry_equiv_pos_as_xyz
'x,y,z'
'-x,-y,z'
'-x,y+1/2,z+1/2'
'x,-y+1/2,z+1/2'
loop_
_atom_site_label
_atom_site_type_symbol
_atom_site_fract_x
_atom_site_fract_y
_atom_site_fract_z
_atom_site_occupancy
Sb1 Sb 0.0000 0.0000 0.0000 1
Rh1 Rh 0.5000 0.0000 0.6912 1
O1 O 0.1695 0.2331 0.7319 1
O2 O 0.3180 0.7393 0.4401 1
```

Main lines, by angle (15° ≤ 2θ ≤ 90°):
2θ/deg	I/Imax
24.73	43.3
30.20	100.0
34.52	17.7
36.00	30.2
42.93	17.5
52.84	20.0
53.90	30.8
64.00	15.8



The following is a calculated X-ray powder pattern of InSn5Cl11. It was derived from the GGA-PBE geometry in Alexandria, using Cu Kα (weighted mean of Kα1 and Kα2).

Structure:
```
data_InSn5Cl11
_cell_length_a 9.0572
_cell_length_b 15.1401
_cell_length_c 9.2665
_cell_angle_alpha 90.00
_cell_angle_beta 105.12
_cell_angle_gamma 90.00
_symmetry_space_group_name_H-M 'C 1 2/m 1'
_symmetry_Int_Tables_number 12
loop_
_symmetry_equiv_pos_as_xyz
'x,y,z'
'-x,-y,-z'
'-x,y,-z'
'x,-y,z'
'x+1/2,y+1/2,z'
'-x+1/2,-y+1/2,-z'
'-x+1/2,y+1/2,-z'
'x+1/2,-y+1/2,z'
loop_
_atom_site_label
_atom_site_type_symbol
_atom_site_fract_x
_atom_site_fract_y
_atom_site_fract_z
_atom_site_occupancy
In1 In 0.0000 0.0000 0.0000 1
Sn1 Sn 0.0000 0.5000 0.0000 1
Sn2 Sn 0.2097 0.1476 0.6526 1
Cl1 Cl 0.0000 0.0000 0.5000 1
Cl2 Cl 0.0788 0.5000 0.3223 1
Cl3 Cl 0.0813 0.2180 0.3270 1
Cl4 Cl 0.2420 0.3719 0.0501 1
```

Main lines, by angle (15° ≤ 2θ ≤ 90°):
2θ/deg	I/Imax
15.33	64.7
21.43	56.5
23.10	33.4
23.50	36.8
29.97	67.2
31.26	100.0
34.68	45.1
39.78	53.4



The following is a calculated X-ray powder pattern of SmHo12Er2. It was derived from the GGA-PBE geometry in Alexandria, using Cu Kα (weighted mean of Kα1 and Kα2).

Structure:
```
data_SmHo12Er2
_cell_length_a 3.5394
_cell_length_b 5.5386
_cell_length_c 24.1706
_cell_angle_alpha 90.00
_cell_angle_beta 94.06
_cell_angle_gamma 90.00
_symmetry_space_group_name_H-M 'P 1 2/m 1'
_symmetry_Int_Tables_number 10
loop_
_symmetry_equiv_pos_as_xyz
'x,y,z'
'-x,-y,-z'
'-x,y,-z'
'x,-y,z'
loop_
_atom_site_label
_atom_site_type_symbol
_atom_site_fract_x
_atom_site_fract_y
_atom_site_fract_z
_atom_site_occupancy
Sm1 Sm 0.0000 0.0000 0.0000 1
Ho1 Ho 0.0712 0.0000 0.1384 1
Ho2 Ho 0.1030 0.5000 0.2021 1
Ho3 Ho 0.1650 0.5000 0.3302 1
Ho4 Ho 0.2115 0.0000 0.4248 1
Ho5 Ho 0.2791 0.5000 0.5552 1
Ho6 Ho 0.4598 0.5000 0.9251 1
Er1 Er 0.3635 0.0000 0.7282 1
```

Main lines, by angle (15° ≤ 2θ ≤ 90°):
2θ/deg	I/Imax
30.54	100.0
31.40	46.0
32.33	68.8
32.51	38.7
32.72	69.1
33.86	35.1
46.51	28.8
62.26	21.2